The following is a theoretical PXRD pattern of CoBi12O20. It was derived from a PBE+U-relaxed structure, using λ = 1.5418 Å (Cu Kα).

Structural model:
```
data_CoBi12O20
_chemical_formula_sum 'Co2 Bi24 O40'
_cell_length_a 10.2881
_cell_length_b 10.2881
_cell_length_c 10.2881
_cell_angle_alpha 90.00
_cell_angle_beta 90.00
_cell_angle_gamma 90.00
_symmetry_space_group_name_H-M 'I 2 3'
_symmetry_Int_Tables_number 197
_symmetry_space_group_name_Hall 'I 2 2 3'
loop_
_atom_site_label
_atom_site_type_symbol
_atom_site_fract_x
_atom_site_fract_y
_atom_site_fract_z
_atom_site_occupancy
Co1 Co 0.0000 0.0000 0.0000 1
Bi1 Bi 0.0156 0.1771 0.6818 1
O1 O 0.0099 0.3694 0.2504 1
O2 O 0.1023 0.1023 0.1023 1
O3 O 0.1966 0.1966 0.8034 1
```

Main lines, sorted by position (2θ from 15° to 90°):
- (2 2 0), 24.47 deg, intensity 22
- (3 1 0), 27.41 deg, intensity 100
- (2 2 2), 30.09 deg, intensity 23
- (3 2 1), 32.57 deg, intensity 67
- (4 1 3), 44.93 deg, intensity 15
- (5 0 3), 51.82 deg, intensity 39
- (6 0 0), 53.44 deg, intensity 18
- (5 3 2), 55.02 deg, intensity 29
- (6 3 1), 61.09 deg, intensity 21
- (6 3 5), 77.65 deg, intensity 15